Entry 1:
Na2Ho2B2TeO10: computed powder X-ray diffraction pattern (CuKα), based on DFT lattice parameters and positions (PBE).
Peak positions follow from Bragg's law for the DFT cell and can differ from measured ones.

Principal peaks in the range 2θ = 10–90°, by intensity:
2θ/deg  intensity
14.38  100
30.03  65
27.13  41
16.90  40
31.93  39
30.37  37
27.47  27
34.08  22
49.77  21
48.91  17

Structural model:
Lattice parameters (Å, degrees): 6.349 10.012 6.778 90.00 104.07 90.00
Element x y z (fractional)
Na (0.085, 0.111, 0.166)
Na (0.085, 0.389, 0.666)
Na (0.915, 0.611, 0.334)
Na (0.915, 0.889, 0.834)
Ho (0.372, 0.666, 0.977)
Ho (0.372, 0.834, 0.477)
Ho (0.628, 0.166, 0.523)
Ho (0.628, 0.334, 0.023)
B (0.164, 0.100, 0.627)
B (0.164, 0.400, 0.127)
B (0.836, 0.600, 0.873)
B (0.836, 0.900, 0.373)
Te (0.500, 0.000, 0.000)
Te (0.500, 0.500, 0.500)
O (0.019, 0.673, 0.944)
O (0.019, 0.827, 0.444)
O (0.209, 0.062, 0.836)
O (0.209, 0.438, 0.336)
O (0.302, 0.061, 0.509)
O (0.302, 0.439, 0.009)
O (0.338, 0.616, 0.636)
O (0.338, 0.884, 0.136)
O (0.496, 0.151, 0.178)
O (0.496, 0.349, 0.678)
O (0.504, 0.651, 0.322)
O (0.504, 0.849, 0.822)
O (0.662, 0.116, 0.864)
O (0.662, 0.384, 0.364)
O (0.698, 0.561, 0.991)
O (0.698, 0.939, 0.491)
O (0.791, 0.562, 0.664)
O (0.791, 0.938, 0.164)
O (0.981, 0.173, 0.556)
O (0.981, 0.327, 0.056)

***

Entry 2:
HoNi2B2: computed powder X-ray diffraction pattern (CuKα), based on DFT lattice parameters and positions (PBE).
Peak positions follow from Bragg's law for the DFT cell and can differ from measured ones.

Principal peaks in the range 2θ = 10–90°, by intensity:
2θ/deg  intensity
38.07  100
37.50  67
32.67  64
37.29  43
26.59  38
44.05  37
44.60  29
31.83  26
63.29  24
21.64  22

Structural model:
Lattice parameters (Å, degrees): 4.942 4.942 6.853 120.59 120.59 64.02
Element x y z (fractional)
Ho (0.118, 0.882, 0.750)
Ho (0.882, 0.118, 0.250)
Ni (0.278, 0.467, 0.300)
Ni (0.467, 0.278, 0.800)
Ni (0.533, 0.722, 0.200)
Ni (0.722, 0.533, 0.700)
B (0.155, 0.505, 0.977)
B (0.495, 0.845, 0.523)
B (0.505, 0.155, 0.477)
B (0.845, 0.495, 0.023)